Simulated powder diffractogram of LaCrFeO6 for Cu Kα (λ = 1.5418 Å), from a structure optimized by DFT (PBE+U).

Largest 10 diffraction maxima, sorted by position, 2θ from 15° to 90°:
| 2theta | d/Å | I_rel |
| --- | --- | --- |
| 19.4 | 4.573 | 100 |
| 20.2 | 4.390 | 51 |
| 20.4 | 4.362 | 34 |
| 30.9 | 2.891 | 68 |
| 31.1 | 2.875 | 81 |
| 34.8 | 2.576 | 31 |
| 36.2 | 2.482 | 37 |
| 36.9 | 2.437 | 23 |
| 40.6 | 2.220 | 25 |
| 51.6 | 1.770 | 28 |

Cell and atoms:
Cell lengths 4.875, 5.152, 11.025 Å; angles 90.00, 115.77, 90.00 degrees
Element x y z (fractional)
La 0.000 0.250 0.000
La 0.000 0.750 0.500
Cr 0.811 0.219 0.260
Cr 0.811 0.781 0.760
Fe 0.288 0.277 0.760
Fe 0.288 0.723 0.260
O 0.019 0.011 0.181
O 0.019 0.989 0.681
O 0.022 0.258 0.425
O 0.022 0.742 0.925
O 0.424 0.273 0.943
O 0.424 0.727 0.443
O 0.475 0.383 0.217
O 0.475 0.617 0.717
O 0.649 0.093 0.767
O 0.649 0.907 0.267
O 0.946 0.477 0.191
O 0.946 0.523 0.691